# 1
Simulated X-ray diffraction stick pattern of K2Cd2TcO6 for λ = 1.5418 Å (Cu Kα), from a cell relaxed with PBE.
Intensities are scaled so that the largest is 100.

Structural model:
Lattice parameters (Å, degrees): 5.8964 9.7967 6.5061 90.00 108.52 90.00
Space group C2/m (No. 12)
Symmetry-distinct sites (fractional):
K 0.0000 0.1757 0.0000
Cd 0.0000 0.3381 0.5000
Tc 0.0000 0.0000 0.5000
O 0.1990 0.1428 0.6783
O 0.2129 0.0000 0.3215

Top 12 peaks for 2θ from 5° to 70°, in order of falling intensity:
| (hkl) | 2θ/deg | I/Imax |
| --- | --- | --- |
| 0 0 1 | 14.36 | 100.0 |
| 1 3 1 | 37.12 | 53.1 |
| 1 3 -1 | 32.74 | 32.9 |
| 2 0 -2 | 35.85 | 28.6 |
| 0 0 2 | 28.95 | 26.5 |
| 2 0 2 | 50.56 | 25.2 |
| 1 3 0 | 31.73 | 19.3 |
| 2 0 0 | 32.01 | 17.9 |
| 3 3 -1 | 54.50 | 15.0 |
| 0 6 0 | 56.39 | 11.7 |
| 1 3 2 | 47.01 | 11.6 |
| 2 0 -1 | 30.63 | 10.3 |



# 2
Simulated X-ray diffraction stick pattern of CoPdI4 for λ = 1.5418 Å (Cu Kα), from a cell relaxed with PBE.
Intensities are scaled so that the largest is 100.

Structural model:
Lattice parameters (Å, degrees): 6.9326 4.0415 7.1022 90.00 92.01 90.00
Space group P2/m (No. 10)
Symmetry-distinct sites (fractional):
Co 0.0000 0.0000 0.0000
Pd 0.5000 0.5000 0.0000
I 0.1717 0.5000 0.2164
I 0.3144 0.0000 0.7848

Top 12 peaks for 2θ from 5° to 70°, in order of falling intensity:
| (hkl) | 2θ/deg | I/Imax |
| --- | --- | --- |
| 1 1 1 | 28.70 | 100.0 |
| 0 0 1 | 12.47 | 86.8 |
| 2 0 -1 | 28.28 | 70.2 |
| 1 1 2 | 36.42 | 50.5 |
| 3 1 0 | 45.22 | 37.6 |
| 1 1 -3 | 45.96 | 36.6 |
| 2 0 -2 | 35.57 | 33.1 |
| 0 2 0 | 44.85 | 20.3 |
| 3 1 -1 | 46.71 | 18.0 |
| 0 0 2 | 25.09 | 17.7 |
| 2 0 3 | 47.28 | 17.3 |
| 2 2 -2 | 58.51 | 15.3 |



# 3
Simulated X-ray diffraction stick pattern of Np2O6F for λ = 1.5418 Å (Cu Kα), from a cell relaxed with PBE.
Intensities are scaled so that the largest is 100.

Structural model:
Lattice parameters (Å, degrees): 3.5848 5.8582 7.9843 69.58 84.33 81.07
Space group P-1 (No. 2)
Symmetry-distinct sites (fractional):
Np 0.0193 0.3076 0.2246
O 0.0765 0.6474 0.0565
O 0.4252 0.5585 0.6849
O 0.4551 0.1131 0.1904
F 0.0000 0.0000 0.5000

Top 12 peaks for 2θ from 5° to 70°, in order of falling intensity:
| (hkl) | 2θ/deg | I/Imax |
| --- | --- | --- |
| 0 1 1 | 16.58 | 100.0 |
| 0 0 2 | 23.81 | 34.6 |
| 0 1 -1 | 23.25 | 30.8 |
| 1 0 0 | 25.18 | 30.4 |
| 1 1 1 | 27.90 | 26.1 |
| 0 1 3 | 34.09 | 23.4 |
| -1 1 1 | 32.53 | 17.9 |
| 1 2 2 | 38.82 | 17.0 |
| 1 1 -1 | 33.36 | 13.0 |
| 0 1 0 | 16.28 | 12.4 |
| 1 1 3 | 40.37 | 12.3 |
| 1 -1 1 | 35.74 | 11.9 |